(1)
This entry pairs a crystal structure of Li3Zr3VSe8 with its theoretical XRD peak list. Radiation: Cu Kα X-rays. Structure: a DFT-relaxed cell (PBE, Alexandria).
No peak broadening, texture or thermal motion is included.

Principal peaks in the range 10 to 90 degrees two-theta, in order of rising 2θ:
2θ/deg, I (rel.), index
13.38, 362, 0 0 3
27.84, 154, 0 2 1
28.93, 123, 2 0 2
32.96, 1000, 0 2 4
46.04, 381, 2 0 8
48.56, 326, 2 2 0
59.94, 172, 4 0 4
76.86, 160, 2 2 12
80.63, 144, 2 4 4
88.97, 113, 4 2 8

Structural model:
Lattice parameters (Å, degrees): 7.4999 7.4999 19.8454 90.00 90.00 120.00
Space group R-3m (No. 166, hexagonal axes)
Inequivalent atoms, fractional coordinates:
Li 0.0000 0.5000 0.0000
Zr 0.0000 0.5000 0.5000
V 0.0000 0.0000 0.5000
Se 0.0000 0.0000 0.2505
Se 0.0092 0.5046 0.2470


(2)
This entry pairs a crystal structure of Li2YSe with its theoretical XRD peak list. Radiation: Cu Kα X-rays. Structure: a DFT-relaxed cell (PBE, Alexandria).
No peak broadening, texture or thermal motion is included.

Principal peaks in the range 10 to 90 degrees two-theta, in order of rising 2θ:
2θ/deg, I (rel.), index
20.00, 1000, 0 1 0
26.30, 544, 1 0 -1
32.56, 361, 1 0 1
33.26, 655, 1 1 -1
36.71, 210, 0 0 2
38.50, 371, 1 1 1
40.65, 197, 0 2 0
42.15, 351, 0 1 2
49.06, 190, 1 2 -1
53.01, 176, 1 2 1

Structural model:
Lattice parameters (Å, degrees): 3.927 4.439 5.010 90.00 102.24 90.00
Space group P2/m (No. 10)
Inequivalent atoms, fractional coordinates:
Li 0.118 0.000 0.287
Y 0.500 0.500 0.000
Se 0.000 0.500 0.500


(3)
This entry pairs a crystal structure of Li3Y5Se8 with its theoretical XRD peak list. Radiation: Cu Kα X-rays. Structure: a DFT-relaxed cell (PBE, Alexandria).
No peak broadening, texture or thermal motion is included.

Principal peaks in the range 10 to 90 degrees two-theta, in order of rising 2θ:
2θ/deg, I (rel.), index
13.43, 149, 0 0 3
25.81, 128, 0 2 1
31.27, 1000, 0 2 4
44.75, 363, 2 2 0
44.88, 358, 2 0 8
55.61, 188, 4 0 4
65.24, 114, 0 4 8
74.04, 158, 2 4 4
74.22, 155, 2 2 12
82.56, 177, 6 0 0

Structural model:
Lattice parameters (Å, degrees): 8.1001 8.1001 19.7635 90.00 90.00 120.00
Space group R-3m (No. 166, hexagonal axes)
Inequivalent atoms, fractional coordinates:
Li 0.0000 0.5000 0.0000
Y 0.0000 0.0000 0.0000
Y 0.0000 0.0000 0.5000
Y 0.0000 0.5000 0.5000
Se 0.0000 0.0000 0.2515
Se 0.0047 0.5024 0.2524


Number 1 is which compound? Li3Zr3VSe8


Copy entry 2 word for word.
This entry pairs a crystal structure of Li2YSe with its theoretical XRD peak list. Radiation: Cu Kα X-rays. Structure: a DFT-relaxed cell (PBE, Alexandria).
No peak broadening, texture or thermal motion is included.

Principal peaks in the range 10 to 90 degrees two-theta, in order of rising 2θ:
2θ/deg, I (rel.), index
20.00, 1000, 0 1 0
26.30, 544, 1 0 -1
32.56, 361, 1 0 1
33.26, 655, 1 1 -1
36.71, 210, 0 0 2
38.50, 371, 1 1 1
40.65, 197, 0 2 0
42.15, 351, 0 1 2
49.06, 190, 1 2 -1
53.01, 176, 1 2 1

Structural model:
Lattice parameters (Å, degrees): 3.927 4.439 5.010 90.00 102.24 90.00
Space group P2/m (No. 10)
Inequivalent atoms, fractional coordinates:
Li 0.118 0.000 0.287
Y 0.500 0.500 0.000
Se 0.000 0.500 0.500


Number 2 is which compound? Li2YSe